Record 1
# Ba2P
Simulated PXRD pattern, CuKα. Input: a structure optimized by DFT (PBE).

Cell lengths 7.596, 7.596, 7.642 Å; angles 90.00, 90.00, 145.94 degrees
Element x y z (fractional)
1 Ba 0.002 0.998 0.500
2 Ba 0.261 0.739 0.661
3 Ba 0.739 0.261 0.161
4 Ba 0.998 0.002 0.000
5 P 0.386 0.614 0.269
6 P 0.614 0.386 0.769

Peak list (12 most intense, 2θ from 10° to 90°, by angle)
2theta	I (rel.)
20.88	34.9
23.94	72.1
24.51	64.4
26.36	100.0
27.22	64.7
29.67	68.0
31.47	66.6
34.06	27.7
38.85	27.8
40.55	28.3
44.29	24.9
49.01	36.1

***

Record 2
# Tl2OsW
Simulated PXRD pattern, CuKα. Input: a structure optimized by DFT (PBE).

Cell lengths 3.062, 3.106, 9.013 Å; angles 90.00, 99.78, 90.00 degrees
Element x y z (fractional)
1 Tl 0.000 0.000 0.000
2 Tl 0.175 0.500 0.333
3 Os 0.380 0.500 0.745
4 W 0.802 0.000 0.588

Peak list (12 most intense, 2θ from 10° to 90°, by angle)
2theta	I (rel.)
29.60	24.3
30.19	33.2
32.93	17.4
35.26	100.0
38.82	86.4
41.73	91.6
42.16	19.0
49.01	19.8
59.99	17.4
63.58	33.4
71.97	25.8
73.36	27.4

***

Record 3
# Rb2TiI5Br
Simulated PXRD pattern, CuKα. Input: a structure optimized by DFT (PBE).

Cell lengths 8.076, 8.076, 8.076 Å; angles 118.61, 118.61, 92.43 degrees
Element x y z (fractional)
1 Rb 0.000 0.500 0.500
2 Rb 0.500 0.000 0.500
3 Ti 0.245 0.245 0.000
4 I 0.011 0.011 0.522
5 I 0.011 0.489 0.000
6 I 0.489 0.011 0.000
7 I 0.489 0.489 0.478
8 I 0.493 0.493 0.000
9 Br 0.023 0.023 0.000

Peak list (12 most intense, 2θ from 10° to 90°, by angle)
2theta	I (rel.)
13.34	9.3
26.87	100.0
30.67	44.0
32.03	19.3
43.92	15.7
44.94	29.0
52.25	29.7
54.02	13.1
55.39	15.1
72.08	10.8
81.46	9.3
86.97	6.6

***

Record 4
# ThUS2N
Simulated PXRD pattern, CuKα. Input: a structure optimized by DFT (PBE).

Cell lengths 3.967, 3.967, 13.733 Å; angles 90.00, 90.00, 90.00 degrees
Element x y z (fractional)
1 Th 0.250 0.250 0.088
2 Th 0.750 0.750 0.912
3 U 0.250 0.250 0.608
4 U 0.750 0.750 0.392
5 S 0.250 0.250 0.403
6 S 0.250 0.250 0.795
7 S 0.750 0.750 0.205
8 S 0.750 0.750 0.597
9 N 0.250 0.750 0.000
10 N 0.750 0.250 0.000

Peak list (12 most intense, 2θ from 10° to 90°, by angle)
2theta	I (rel.)
12.89	16.1
25.94	100.0
31.91	45.9
34.55	27.8
41.58	23.5
45.75	26.4
51.54	15.0
53.34	35.3
58.58	18.3
66.70	11.3
72.85	9.7
77.35	15.8